Record 1
Sm2HoGa9: theoretical powder diffraction line list (Cu Kα (weighted mean of Kα1 and Kα2)), based on a crystal structure in Alexandria, relaxed with GGA-PBE.
Intensities are scaled so that the largest is 100.

Most intense lines, 2θ = 10–90°, by intensity:
d [Å]  Rel. int.
2.490  100
2.157  49
1.300  37
1.525  32
4.313  14
3.050  12
1.245  11
1.929  7

```
data_Sm2HoGa9
_chemical_formula_sum 'Sm2 Ho1 Ga9'
_cell_length_a 4.3137
_cell_length_b 4.3137
_cell_length_c 12.9355
_cell_angle_alpha 90.00
_cell_angle_beta 90.00
_cell_angle_gamma 90.00
_symmetry_space_group_name_H-M 'P 1'
_symmetry_Int_Tables_number 1
loop_
_symmetry_equiv_pos_as_xyz
'x,y,z'
loop_
_atom_site_label
_atom_site_fract_x
_atom_site_fract_y
_atom_site_fract_z
Sm1 0.0000 0.0000 0.1685
Sm2 0.0000 0.0000 0.8315
Ho1 0.0000 0.0000 0.5000
Ga1 0.0000 0.5000 0.0000
Ga2 0.0000 0.5000 0.3369
Ga3 0.0000 0.5000 0.6631
Ga4 0.5000 0.0000 0.0000
Ga5 0.5000 0.0000 0.3369
Ga6 0.5000 0.0000 0.6631
Ga7 0.5000 0.5000 0.1664
Ga8 0.5000 0.5000 0.5000
Ga9 0.5000 0.5000 0.8336
```

Record 2
Ca2ClF2: theoretical powder diffraction line list (Cu Kα (weighted mean of Kα1 and Kα2)), based on a crystal structure in Alexandria, relaxed with GGA-PBE.
Intensities are scaled so that the largest is 100.

Most intense lines, 2θ = 10–90°, by intensity:
d [Å]  Rel. int.
5.918  100
3.010  81
3.693  30
1.847  29
1.911  28
2.959  28
2.118  24
2.389  23

```
data_Ca2ClF2
_chemical_formula_sum 'Ca4 Cl2 F4'
_cell_length_a 7.4368
_cell_length_b 7.4368
_cell_length_c 7.4368
_cell_angle_alpha 123.91
_cell_angle_beta 123.91
_cell_angle_gamma 83.35
_symmetry_space_group_name_H-M 'P 1'
_symmetry_Int_Tables_number 1
loop_
_symmetry_equiv_pos_as_xyz
'x,y,z'
loop_
_atom_site_label
_atom_site_fract_x
_atom_site_fract_y
_atom_site_fract_z
Ca1 0.2438 0.0000 0.2438
Ca2 0.7500 0.0062 0.2562
Ca3 0.7500 0.4938 0.7438
Ca4 0.7562 0.0000 0.7562
Cl1 0.3148 0.8148 0.5000
Cl2 0.5648 0.5648 0.0000
F1 0.4965 0.2062 0.2903
F2 0.9159 0.2062 0.7097
F3 0.9562 0.1659 0.2097
F4 0.9562 0.7465 0.7903
```

Record 3
Ba2CaHo3O8: theoretical powder diffraction line list (Cu Kα (weighted mean of Kα1 and Kα2)), based on a crystal structure in Alexandria, relaxed with GGA-PBE.
Intensities are scaled so that the largest is 100.

Most intense lines, 2θ = 10–90°, by intensity:
d [Å]  Rel. int.
3.038  100
2.874  66
2.984  63
3.157  60
2.531  59
5.747  51
1.837  50
1.745  48

```
data_Ba2CaHo3O8
_chemical_formula_sum 'Ba2 Ca1 Ho3 O8'
_cell_length_a 7.3703
_cell_length_b 7.3703
_cell_length_c 7.3703
_cell_angle_alpha 56.54
_cell_angle_beta 56.54
_cell_angle_gamma 56.54
_symmetry_space_group_name_H-M 'P 1'
_symmetry_Int_Tables_number 1
loop_
_symmetry_equiv_pos_as_xyz
'x,y,z'
loop_
_atom_site_label
_atom_site_fract_x
_atom_site_fract_y
_atom_site_fract_z
Ba1 0.0000 0.0000 0.0000
Ba2 0.3733 0.3733 0.3733
Ca1 0.6048 0.6048 0.6048
Ho1 0.9998 0.9998 0.5015
Ho2 0.9998 0.5015 0.9998
Ho3 0.5015 0.9998 0.9998
O1 0.2142 0.7443 0.7443
O2 0.2303 0.2303 0.2303
O3 0.2513 0.2513 0.8058
O4 0.2513 0.8058 0.2513
O5 0.7443 0.2142 0.7443
O6 0.7443 0.7443 0.2142
O7 0.7702 0.7702 0.7702
O8 0.8058 0.2513 0.2513
```

Record 4
Pd3Pt13: theoretical powder diffraction line list (Cu Kα (weighted mean of Kα1 and Kα2)), based on a crystal structure in Alexandria, relaxed with GGA-PBE.
Intensities are scaled so that the largest is 100.

Most intense lines, 2θ = 10–90°, by intensity:
d [Å]  Rel. int.
2.289  100
2.001  34
1.204  26
1.395  21
1.945  15
1.179  12
1.144  11
1.415  11

```
data_Pd3Pt13
_chemical_formula_sum 'Pd3 Pt13'
_cell_length_a 7.7789
_cell_length_b 5.6607
_cell_length_c 5.6607
_cell_angle_alpha 89.97
_cell_angle_beta 90.00
_cell_angle_gamma 90.00
_symmetry_space_group_name_H-M 'P 1'
_symmetry_Int_Tables_number 1
loop_
_symmetry_equiv_pos_as_xyz
'x,y,z'
loop_
_atom_site_label
_atom_site_fract_x
_atom_site_fract_y
_atom_site_fract_z
Pd1 0.0000 0.0000 0.0000
Pd2 0.2495 0.2485 0.2485
Pd3 0.7505 0.2485 0.2485
Pt1 0.0000 0.4989 0.4989
Pt2 0.0000 0.5004 0.9983
Pt3 0.0000 0.9983 0.5004
Pt4 0.2498 0.2497 0.7484
Pt5 0.2498 0.7484 0.2497
Pt6 0.2497 0.7496 0.7496
Pt7 0.5000 0.4984 0.4984
Pt8 0.5000 0.4994 0.9984
Pt9 0.5000 0.9984 0.4994
Pt10 0.5000 0.9991 0.9991
Pt11 0.7502 0.2497 0.7484
Pt12 0.7502 0.7484 0.2497
Pt13 0.7503 0.7496 0.7496
```

Record 5
CaPm2Ga: theoretical powder diffraction line list (Cu Kα (weighted mean of Kα1 and Kα2)), based on a crystal structure in Alexandria, relaxed with GGA-PBE.
Intensities are scaled so that the largest is 100.

Most intense lines, 2θ = 10–90°, by intensity:
d [Å]  Rel. int.
2.517  100
2.989  98
2.502  80
3.128  75
2.757  56
2.847  47
1.747  47
4.220  43

```
data_CaPm2Ga
_chemical_formula_sum 'Ca2 Pm4 Ga2'
_cell_length_a 6.3964
_cell_length_b 6.3964
_cell_length_c 9.3203
_cell_angle_alpha 90.00
_cell_angle_beta 90.00
_cell_angle_gamma 138.72
_symmetry_space_group_name_H-M 'P 1'
_symmetry_Int_Tables_number 1
loop_
_symmetry_equiv_pos_as_xyz
'x,y,z'
loop_
_atom_site_label
_atom_site_fract_x
_atom_site_fract_y
_atom_site_fract_z
Ca1 0.0613 0.9387 0.7500
Ca2 0.9387 0.0613 0.2500
Pm1 0.3528 0.6472 0.5525
Pm2 0.3528 0.6472 0.9475
Pm3 0.6472 0.3528 0.0525
Pm4 0.6472 0.3528 0.4475
Ga1 0.2455 0.7545 0.2500
Ga2 0.7545 0.2455 0.7500
```

Record 6
Pr9TmSn2: theoretical powder diffraction line list (Cu Kα (weighted mean of Kα1 and Kα2)), based on a crystal structure in Alexandria, relaxed with GGA-PBE.
Intensities are scaled so that the largest is 100.

Most intense lines, 2θ = 10–90°, by intensity:
d [Å]  Rel. int.
2.920  100
2.512  33
1.518  28
1.795  24
2.565  17
1.541  14
1.460  12
1.776  12

```
data_Pr9TmSn2
_chemical_formula_sum 'Pr9 Tm1 Sn2'
_cell_length_a 5.0236
_cell_length_b 5.0236
_cell_length_c 15.3904
_cell_angle_alpha 90.00
_cell_angle_beta 90.00
_cell_angle_gamma 90.00
_symmetry_space_group_name_H-M 'P 1'
_symmetry_Int_Tables_number 1
loop_
_symmetry_equiv_pos_as_xyz
'x,y,z'
loop_
_atom_site_label
_atom_site_fract_x
_atom_site_fract_y
_atom_site_fract_z
Pr1 0.0000 0.0000 0.0000
Pr2 0.0000 0.0000 0.3382
Pr3 0.0000 0.0000 0.6618
Pr4 0.0000 0.5000 0.1745
Pr5 0.0000 0.5000 0.5000
Pr6 0.0000 0.5000 0.8255
Pr7 0.5000 0.0000 0.1745
Pr8 0.5000 0.0000 0.5000
Pr9 0.5000 0.0000 0.8255
Tm1 0.5000 0.5000 0.0000
Sn1 0.5000 0.5000 0.3373
Sn2 0.5000 0.5000 0.6627
```

Record 7
CaZn2Si2O8: theoretical powder diffraction line list (Cu Kα (weighted mean of Kα1 and Kα2)), based on a crystal structure in Alexandria, relaxed with GGA-PBE.
Intensities are scaled so that the largest is 100.

Most intense lines, 2θ = 10–90°, by intensity:
d [Å]  Rel. int.
2.522  100
3.416  71
2.896  66
6.472  39
1.511  36
2.350  35
3.279  30
1.619  28

```
data_CaZn2Si2O8
_chemical_formula_sum 'Ca2 Zn4 Si4 O16'
_cell_length_a 12.9443
_cell_length_b 5.1640
_cell_length_c 5.1640
_cell_angle_alpha 77.67
_cell_angle_beta 90.00
_cell_angle_gamma 90.00
_symmetry_space_group_name_H-M 'P 1'
_symmetry_Int_Tables_number 1
loop_
_symmetry_equiv_pos_as_xyz
'x,y,z'
loop_
_atom_site_label
_atom_site_fract_x
_atom_site_fract_y
_atom_site_fract_z
Ca1 0.2500 0.2490 0.7510
Ca2 0.7500 0.7510 0.2490
Zn1 0.0000 0.1479 0.1479
Zn2 0.0000 0.6498 0.6498
Zn3 0.5000 0.1479 0.1479
Zn4 0.5000 0.6498 0.6498
Si1 0.1363 0.6590 0.1590
Si2 0.3637 0.6590 0.1590
Si3 0.6363 0.1590 0.6590
Si4 0.8637 0.1590 0.6590
O1 0.0437 0.5172 0.0186
O2 0.1261 0.5443 0.4799
O3 0.1261 0.9790 0.0421
O4 0.2500 0.5559 0.0582
O5 0.2500 0.9208 0.4276
O6 0.3739 0.5443 0.4799
O7 0.3739 0.9790 0.0421
O8 0.4563 0.5172 0.0186
O9 0.5437 0.0186 0.5172
O10 0.6261 0.0421 0.9790
O11 0.6261 0.4799 0.5443
O12 0.7500 0.0582 0.5559
O13 0.7500 0.4276 0.9208
O14 0.8739 0.0421 0.9790
O15 0.8739 0.4799 0.5443
O16 0.9563 0.0186 0.5172
```

Record 8
Nd2GePt6: theoretical powder diffraction line list (Cu Kα (weighted mean of Kα1 and Kα2)), based on a crystal structure in Alexandria, relaxed with GGA-PBE.
Intensities are scaled so that the largest is 100.

Most intense lines, 2θ = 10–90°, by intensity:
d [Å]  Rel. int.
2.382  100
2.185  76
2.389  52
3.048  41
2.149  35
1.423  27
2.457  16
1.966  16

```
data_Nd2GePt6
_chemical_formula_sum 'Nd2 Ge1 Pt6'
_cell_length_a 5.6946
_cell_length_b 5.6946
_cell_length_c 6.2827
_cell_angle_alpha 102.06
_cell_angle_beta 102.06
_cell_angle_gamma 60.34
_symmetry_space_group_name_H-M 'P 1'
_symmetry_Int_Tables_number 1
loop_
_symmetry_equiv_pos_as_xyz
'x,y,z'
loop_
_atom_site_label
_atom_site_fract_x
_atom_site_fract_y
_atom_site_fract_z
Nd1 0.1431 0.1431 0.3523
Nd2 0.8569 0.8569 0.6477
Ge1 0.5000 0.5000 0.5000
Pt1 0.1074 0.6218 0.1871
Pt2 0.3782 0.8926 0.8129
Pt3 0.3788 0.3788 0.8064
Pt4 0.6212 0.6212 0.1936
Pt5 0.6218 0.1074 0.1871
Pt6 0.8926 0.3782 0.8129
```

Record 9
Tb2Sm12In: theoretical powder diffraction line list (Cu Kα (weighted mean of Kα1 and Kα2)), based on a crystal structure in Alexandria, relaxed with GGA-PBE.
Intensities are scaled so that the largest is 100.

Most intense lines, 2θ = 10–90°, by intensity:
d [Å]  Rel. int.
2.974  100
2.869  72
2.694  60
2.447  39
2.738  38
3.116  25
1.503  20
1.532  18

```
data_Tb2Sm12In
_chemical_formula_sum 'Tb4 Sm24 In2'
_cell_length_a 6.7862
_cell_length_b 6.7862
_cell_length_c 24.4066
_cell_angle_alpha 90.00
_cell_angle_beta 90.00
_cell_angle_gamma 115.46
_symmetry_space_group_name_H-M 'P 1'
_symmetry_Int_Tables_number 1
loop_
_symmetry_equiv_pos_as_xyz
'x,y,z'
loop_
_atom_site_label
_atom_site_fract_x
_atom_site_fract_y
_atom_site_fract_z
Tb1 0.2500 0.7500 0.2396
Tb2 0.2500 0.7500 0.7649
Tb3 0.7500 0.2500 0.2351
Tb4 0.7500 0.2500 0.7604
Sm1 0.0014 0.5014 0.6204
Sm2 0.0010 0.9990 0.4283
Sm3 0.0192 0.5192 0.0873
Sm4 0.0242 0.9758 0.9390
Sm5 0.2500 0.2500 0.1767
Sm6 0.2500 0.2500 0.3051
Sm7 0.2500 0.2500 0.6949
Sm8 0.2500 0.2500 0.8233
Sm9 0.4758 0.5242 0.9390
Sm10 0.4808 0.9808 0.0873
Sm11 0.4990 0.5010 0.4283
Sm12 0.4986 0.9986 0.6204
Sm13 0.5014 0.0014 0.3796
Sm14 0.5010 0.4990 0.5717
Sm15 0.5192 0.0192 0.9127
Sm16 0.5242 0.4758 0.0610
Sm17 0.7500 0.7500 0.1767
Sm18 0.7500 0.7500 0.3051
Sm19 0.7500 0.7500 0.6949
Sm20 0.7500 0.7500 0.8233
Sm21 0.9758 0.0242 0.0610
Sm22 0.9808 0.4808 0.9127
Sm23 0.9990 0.0010 0.5717
Sm24 0.9986 0.4986 0.3796
In1 0.2500 0.7500 0.5002
In2 0.7500 0.2500 0.4998
```

Record 10
RbSmS4: theoretical powder diffraction line list (Cu Kα (weighted mean of Kα1 and Kα2)), based on a crystal structure in Alexandria, relaxed with GGA-PBE.
Intensities are scaled so that the largest is 100.

Most intense lines, 2θ = 10–90°, by intensity:
d [Å]  Rel. int.
2.992  100
4.276  39
8.374  39
2.451  37
3.024  34
1.912  28
1.904  18
1.740  17

```
data_RbSmS4
_chemical_formula_sum 'Rb2 Sm2 S8'
_cell_length_a 6.0475
_cell_length_b 6.0475
_cell_length_c 8.3745
_cell_angle_alpha 90.00
_cell_angle_beta 90.00
_cell_angle_gamma 90.00
_symmetry_space_group_name_H-M 'P 1'
_symmetry_Int_Tables_number 1
loop_
_symmetry_equiv_pos_as_xyz
'x,y,z'
loop_
_atom_site_label
_atom_site_fract_x
_atom_site_fract_y
_atom_site_fract_z
Rb1 0.2500 0.2500 0.0000
Rb2 0.7500 0.7500 0.0000
Sm1 0.2500 0.2500 0.5000
Sm2 0.7500 0.7500 0.5000
S1 0.1265 0.6265 0.3009
S2 0.1265 0.8735 0.6991
S3 0.3735 0.6265 0.6991
S4 0.3735 0.8735 0.3009
S5 0.6265 0.1265 0.6991
S6 0.6265 0.3735 0.3009
S7 0.8735 0.1265 0.3009
S8 0.8735 0.3735 0.6991
```

Record 11
RbTeAs2O8: theoretical powder diffraction line list (Cu Kα (weighted mean of Kα1 and Kα2)), based on a crystal structure in Alexandria, relaxed with GGA-PBE.
Intensities are scaled so that the largest is 100.

Most intense lines, 2θ = 10–90°, by intensity:
d [Å]  Rel. int.
3.766  100
2.558  31
2.781  26
1.631  16
2.116  16
1.743  14
1.883  11
1.516  9

```
data_RbTeAs2O8
_chemical_formula_sum 'Rb1 Te1 As2 O8'
_cell_length_a 9.9756
_cell_length_b 9.9756
_cell_length_c 9.9756
_cell_angle_alpha 29.72
_cell_angle_beta 29.72
_cell_angle_gamma 29.72
_symmetry_space_group_name_H-M 'P 1'
_symmetry_Int_Tables_number 1
loop_
_symmetry_equiv_pos_as_xyz
'x,y,z'
loop_
_atom_site_label
_atom_site_fract_x
_atom_site_fract_y
_atom_site_fract_z
Rb1 0.0000 0.0000 0.0000
Te1 0.5000 0.5000 0.5000
As1 0.2359 0.2359 0.2359
As2 0.7641 0.7641 0.7641
O1 0.1246 0.4909 0.7427
O2 0.2573 0.5091 0.8754
O3 0.2943 0.2943 0.2943
O4 0.4909 0.7427 0.1246
O5 0.5091 0.8754 0.2573
O6 0.7057 0.7057 0.7057
O7 0.7427 0.1246 0.4909
O8 0.8754 0.2573 0.5091
```

Record 12
Dy3Tm6Th: theoretical powder diffraction line list (Cu Kα (weighted mean of Kα1 and Kα2)), based on a crystal structure in Alexandria, relaxed with GGA-PBE.
Intensities are scaled so that the largest is 100.

Most intense lines, 2θ = 10–90°, by intensity:
d [Å]  Rel. int.
2.879  100
2.787  95
2.960  91
2.759  85
2.736  61
3.139  53
2.935  39
2.511  27

```
data_Dy3Tm6Th
_chemical_formula_sum 'Dy6 Tm12 Th2'
_cell_length_a 8.8782
_cell_length_b 8.8782
_cell_length_c 8.8917
_cell_angle_alpha 90.00
_cell_angle_beta 90.00
_cell_angle_gamma 116.67
_symmetry_space_group_name_H-M 'P 1'
_symmetry_Int_Tables_number 1
loop_
_symmetry_equiv_pos_as_xyz
'x,y,z'
loop_
_atom_site_label
_atom_site_fract_x
_atom_site_fract_y
_atom_site_fract_z
Dy1 0.0508 0.9492 0.5000
Dy2 0.1797 0.4713 0.0111
Dy3 0.4713 0.1797 0.5111
Dy4 0.5287 0.8203 0.0111
Dy5 0.8203 0.5287 0.5111
Dy6 0.9492 0.0508 0.0000
Tm1 0.0312 0.3274 0.3544
Tm2 0.1975 0.3158 0.6835
Tm3 0.2155 0.7845 0.2406
Tm4 0.3158 0.1975 0.1835
Tm5 0.3274 0.0312 0.8544
Tm6 0.4460 0.5540 0.3721
Tm7 0.5540 0.4460 0.8721
Tm8 0.6726 0.9688 0.3544
Tm9 0.6842 0.8025 0.6835
Tm10 0.7845 0.2155 0.7406
Tm11 0.8025 0.6842 0.1835
Tm12 0.9688 0.6726 0.8544
Th1 0.2765 0.7235 0.6050
Th2 0.7235 0.2765 0.1050
```